# 1
Simulated powder X-ray diffraction pattern of PrPuO4 for Cu Kα, from a DFT-relaxed cell (PBE, Alexandria).
Kinematic intensities with the Lorentz-polarization factor, no thermal factor.

Peak list (8 most intense, 2θ = 10–80°, by intensity)
d 2.956, I = 100
d 3.728, I = 57
d 3.542, I = 42
d 1.967, I = 41
d 1.911, I = 28
d 2.568, I = 27
d 1.547, I = 17
d 5.136, I = 16

Structural model:
```
PrPuO4
1.0
-3.614 3.728 3.542
3.614 -3.728 3.542
3.614 3.728 -3.542
Pr Pu O
2 2 8
direct
0.457 0.207 0.250
0.543 0.793 0.750
0.000 0.000 0.500
0.000 0.500 0.000
0.140 0.216 0.923
0.207 0.784 0.423
0.288 0.318 0.530
0.288 0.758 0.970
0.712 0.242 0.030
0.712 0.682 0.470
0.793 0.216 0.577
0.860 0.784 0.077
```



# 2
Simulated powder X-ray diffraction pattern of Tm2TlPb4 for Cu Kα, from a DFT-relaxed cell (PBE, Alexandria).
Kinematic intensities with the Lorentz-polarization factor, no thermal factor.

Peak list (8 most intense, 2θ = 10–80°, by intensity)
d 2.742, I = 100
d 2.722, I = 98
d 2.406, I = 35
d 1.658, I = 34
d 2.386, I = 34
d 2.308, I = 31
d 1.694, I = 25
d 1.449, I = 15

Structural model:
```
Tm2TlPb4
1.0
4.617 -4.772 0.000
4.617 4.772 0.000
-4.564 0.000 4.812
Tm Tl Pb
2 1 4
direct
0.000 0.500 0.000
0.500 0.000 0.000
0.000 0.000 0.500
0.000 0.000 0.000
0.000 0.500 0.500
0.500 0.000 0.500
0.500 0.500 0.000
```



# 3
Simulated powder X-ray diffraction pattern of Dy3YTmSc for Cu Kα, from a DFT-relaxed cell (PBE, Alexandria).
Kinematic intensities with the Lorentz-polarization factor, no thermal factor.

Peak list (8 most intense, 2θ = 10–80°, by intensity)
d 2.852, I = 100
d 2.466, I = 33
d 1.746, I = 18
d 2.478, I = 17
d 1.493, I = 14
d 1.489, I = 14
d 1.486, I = 14
d 1.749, I = 12

Structural model:
```
Dy3YTmSc
1.0
7.794 0.000 0.000
0.000 4.956 0.000
-3.144 0.000 9.362
Dy Y Tm Sc
6 2 2 2
direct
0.170 0.250 0.044
0.171 0.750 0.790
0.175 0.250 0.542
0.825 0.750 0.458
0.829 0.250 0.210
0.830 0.750 0.956
0.173 0.750 0.296
0.827 0.250 0.704
0.500 0.250 0.873
0.500 0.750 0.127
0.500 0.250 0.377
0.500 0.750 0.623
```



# 4
Simulated powder X-ray diffraction pattern of K2Tl6InPb for Cu Kα, from a DFT-relaxed cell (PBE, Alexandria).
Kinematic intensities with the Lorentz-polarization factor, no thermal factor.

Peak list (8 most intense, 2θ = 10–80°, by intensity)
d 2.997, I = 100
d 5.342, I = 86
d 2.595, I = 82
d 3.199, I = 49
d 2.564, I = 49
d 2.068, I = 43
d 6.827, I = 42
d 1.997, I = 39

Structural model:
```
K2Tl6InPb
1.0
3.995 2.306 14.010
-3.995 2.306 14.010
0.000 -4.613 14.010
K Tl In Pb
4 12 2 2
direct
0.102 0.102 0.102
0.279 0.279 0.279
0.721 0.721 0.721
0.898 0.898 0.898
0.074 0.665 0.665
0.225 0.225 0.631
0.225 0.631 0.225
0.335 0.335 0.926
0.335 0.926 0.335
0.369 0.775 0.775
0.631 0.225 0.225
0.665 0.074 0.665
0.665 0.665 0.074
0.775 0.369 0.775
0.775 0.775 0.369
0.926 0.335 0.335
0.000 0.000 0.000
0.500 0.500 0.500
0.424 0.424 0.424
0.576 0.576 0.576
```



Please write out number 1 again, unchanged.
Simulated powder X-ray diffraction pattern of PrPuO4 for Cu Kα, from a DFT-relaxed cell (PBE, Alexandria).
Kinematic intensities with the Lorentz-polarization factor, no thermal factor.

Peak list (8 most intense, 2θ = 10–80°, by intensity)
d 2.956, I = 100
d 3.728, I = 57
d 3.542, I = 42
d 1.967, I = 41
d 1.911, I = 28
d 2.568, I = 27
d 1.547, I = 17
d 5.136, I = 16

Structural model:
```
PrPuO4
1.0
-3.614 3.728 3.542
3.614 -3.728 3.542
3.614 3.728 -3.542
Pr Pu O
2 2 8
direct
0.457 0.207 0.250
0.543 0.793 0.750
0.000 0.000 0.500
0.000 0.500 0.000
0.140 0.216 0.923
0.207 0.784 0.423
0.288 0.318 0.530
0.288 0.758 0.970
0.712 0.242 0.030
0.712 0.682 0.470
0.793 0.216 0.577
0.860 0.784 0.077
```